# NaLiMn2Fe4P6O24
Simulated XRD peak list, a wavelength of 1.5418 Å. Input: a DFT-relaxed cell (GGA+U, the Materials Project).
Lines closer than 0.1° are merged.

Most intense lines, 5 to 70 degrees two-theta, in order of rising 2θ:
- 2θ = 14.0°, intensity 100, (0 1 -1)
- 2θ = 16.2°, intensity 50, (0 1 1)
- 2θ = 21.0°, intensity 16, (1 1 0)
- 2θ = 25.3°, intensity 17, (0 1 2)
- 2θ = 28.8°, intensity 63, (2 -1 0)
- 2θ = 32.7°, intensity 69, (0 1 -3)
- 2θ = 32.8°, intensity 39, (0 3 -1)
- 2θ = 35.2°, intensity 17, (2 1 -2)
- 2θ = 35.3°, intensity 24, (2 -2 1)
- 2θ = 43.0°, intensity 19, (-3 2 1)

```
data_NaLiMn2Fe4P6O24
_chemical_formula_sum 'Na1 Li1 Mn2 Fe4 P6 O24'
_cell_length_a 6.472
_cell_length_b 8.685
_cell_length_c 8.755
_cell_angle_alpha 92.72
_cell_angle_beta 106.70
_cell_angle_gamma 106.28
_space_group_name_H-M_alt 'P 1'
_space_group_IT_number 1
loop_
_space_group_symop_operation_xyz
'x,y,z'
loop_
_atom_site_label
_atom_site_type_symbol
_atom_site_fract_x
_atom_site_fract_y
_atom_site_fract_z
_atom_site_occupancy
Na1 Na 0.000 0.000 0.000 1
Li1 Li 0.752 0.513 0.489 1
Mn1 Mn 0.251 0.772 0.229 1
Mn2 Mn 0.744 0.225 0.776 1
Fe1 Fe 0.134 0.878 0.567 1
Fe2 Fe 0.363 0.436 0.121 1
Fe3 Fe 0.626 0.567 0.871 1
Fe4 Fe 0.870 0.132 0.432 1
P1 P 0.119 0.634 0.845 1
P2 P 0.247 0.215 0.784 1
P3 P 0.374 0.158 0.368 1
P4 P 0.632 0.849 0.630 1
P5 P 0.750 0.788 0.214 1
P6 P 0.869 0.368 0.151 1
O1 O 0.029 0.239 0.668 1
O2 O 0.093 0.680 0.671 1
O3 O 0.102 0.497 0.165 1
O4 O 0.167 0.776 0.971 1
O5 O 0.185 0.112 0.454 1
O6 O 0.235 0.243 0.958 1
O7 O 0.256 0.040 0.758 1
O8 O 0.309 0.027 0.226 1
O9 O 0.314 0.553 0.897 1
O10 O 0.397 0.838 0.507 1
O11 O 0.404 0.332 0.319 1
O12 O 0.466 0.332 0.763 1
O13 O 0.534 0.669 0.239 1
O14 O 0.606 0.171 0.497 1
O15 O 0.624 0.678 0.678 1
O16 O 0.678 0.452 0.094 1
O17 O 0.692 0.975 0.776 1
O18 O 0.745 0.963 0.242 1
O19 O 0.759 0.758 0.041 1
O20 O 0.816 0.901 0.542 1
O21 O 0.826 0.223 0.029 1
O22 O 0.874 0.324 0.322 1
O23 O 0.889 0.501 0.828 1
O24 O 0.965 0.759 0.333 1
```

***

# LiVNiO4
Simulated XRD peak list, a wavelength of 1.5418 Å. Input: a DFT-relaxed cell (GGA+U, the Materials Project).
Lines closer than 0.1° are merged.

Most intense lines, 5 to 70 degrees two-theta, in order of rising 2θ:
- 2θ = 18.4°, intensity 33, (0 1 1)
- 2θ = 18.6°, intensity 22, (1 0 1)
- 2θ = 21.5°, intensity 32, (0 0 2)
- 2θ = 30.4°, intensity 39, (1 1 2)
- 2θ = 30.6°, intensity 46, (2 0 0)
- 2θ = 35.6°, intensity 100, (1 2 1)
- 2θ = 35.9°, intensity 25, (2 1 1)
- 2θ = 36.0°, intensity 52, (1 0 3)
- 2θ = 57.7°, intensity 24, (3 2 1)
- 2θ = 63.3°, intensity 50, (2 2 4)

```
data_LiVNiO4
_chemical_formula_sum 'Li4 V4 Ni4 O16'
_cell_length_a 5.834
_cell_length_b 5.951
_cell_length_c 8.279
_cell_angle_alpha 90.00
_cell_angle_beta 90.00
_cell_angle_gamma 90.00
_space_group_name_H-M_alt 'I m m a'
_space_group_IT_number 74
_space_group_name_Hall '-I 2b 2'
loop_
_atom_site_label
_atom_site_type_symbol
_atom_site_fract_x
_atom_site_fract_y
_atom_site_fract_z
_atom_site_occupancy
Li1 Li 0.250 0.250 0.250 1
V1 V 0.000 0.250 0.627 1
Ni1 Ni 0.000 0.000 0.000 1
O1 O 0.000 0.013 0.748 1
O2 O 0.249 0.250 0.997 1
```